[1]
The following is a simulated X-ray diffraction stick pattern of LaCu4P2. It was derived from a crystal structure in Alexandria, relaxed with GGA-PBE, using λ = 1.5418 Å (Cu Kα).

Largest 6 diffraction maxima, in order of rising 2θ, 5° ≤ 2θ ≤ 70°:
- 2θ = 34.3°, 2.616 Å, rel. 66
- 2θ = 34.6°, 2.595 Å, rel. 38
- 2θ = 35.5°, 2.529 Å, rel. 82
- 2θ = 38.1°, 2.362 Å, rel. 100
- 2θ = 41.5°, 2.175 Å, rel. 27
- 2θ = 46.3°, 1.963 Å, rel. 58

Crystal structure
a b c (Å): 11.0823 14.8080 3.9258
angles (deg): 90.00 90.00 90.00
Fractional coordinates of all 42 atoms:
1 La 0.0000 0.0000 0.0000
2 La 0.1225 0.2721 0.0000
3 La 0.3775 0.7721 0.5000
4 La 0.5000 0.5000 0.5000
5 La 0.6225 0.2279 0.5000
6 La 0.8775 0.7279 0.0000
7 Cu 0.0698 0.5626 0.0000
8 Cu 0.0755 0.8311 0.5000
9 Cu 0.0995 0.4463 0.5000
10 Cu 0.1709 0.7135 0.0000
11 Cu 0.2357 0.9631 0.5000
12 Cu 0.2403 0.5875 0.5000
13 Cu 0.2597 0.0875 0.0000
14 Cu 0.2643 0.4631 0.0000
15 Cu 0.3291 0.2135 0.5000
16 Cu 0.4005 0.9463 0.0000
17 Cu 0.4245 0.3311 0.0000
18 Cu 0.4302 0.0626 0.5000
19 Cu 0.5698 0.9374 0.5000
20 Cu 0.5755 0.6689 0.0000
21 Cu 0.5995 0.0537 0.0000
22 Cu 0.6709 0.7865 0.5000
23 Cu 0.7357 0.5369 0.0000
24 Cu 0.7403 0.9125 0.0000
25 Cu 0.7597 0.4125 0.5000
26 Cu 0.7643 0.0369 0.5000
27 Cu 0.8291 0.2865 0.0000
28 Cu 0.9005 0.5537 0.5000
29 Cu 0.9245 0.1689 0.5000
30 Cu 0.9302 0.4374 0.0000
31 P 0.0592 0.6651 0.5000
32 P 0.1369 0.1131 0.5000
33 P 0.2061 0.8696 0.0000
34 P 0.2939 0.3696 0.5000
35 P 0.3631 0.6131 0.0000
36 P 0.4408 0.1651 0.0000
37 P 0.5592 0.8349 0.0000
38 P 0.6369 0.3869 0.0000
39 P 0.7061 0.6304 0.5000
40 P 0.7939 0.1304 0.0000
41 P 0.8631 0.8869 0.5000
42 P 0.9408 0.3349 0.5000

[2]
The following is a simulated X-ray diffraction stick pattern of MnAg4Au3. It was derived from a crystal structure in Alexandria, relaxed with GGA-PBE, using λ = 1.5418 Å (Cu Kα).

Largest 6 diffraction maxima, in order of rising 2θ, 5° ≤ 2θ ≤ 70°:
- 2θ = 36.2°, 2.484 Å, rel. 23
- 2θ = 37.7°, 2.389 Å, rel. 42
- 2θ = 38.0°, 2.367 Å, rel. 14
- 2θ = 39.8°, 2.266 Å, rel. 100
- 2θ = 41.5°, 2.174 Å, rel. 31
- 2θ = 65.1°, 1.434 Å, rel. 15

Crystal structure
a b c (Å): 19.7106 3.0279 4.8835
angles (deg): 90.00 104.18 90.00
Fractional coordinates of all 16 atoms:
1 Mn 0.0000 0.0000 0.0000
2 Mn 0.5000 0.5000 0.0000
3 Ag 0.1221 0.5000 0.2672
4 Ag 0.1241 0.0000 0.7732
5 Ag 0.3759 0.5000 0.2268
6 Ag 0.3779 0.0000 0.7328
7 Ag 0.6221 0.0000 0.2672
8 Ag 0.6241 0.5000 0.7732
9 Ag 0.8759 0.0000 0.2268
10 Ag 0.8779 0.5000 0.7328
11 Au 0.0000 0.5000 0.5000
12 Au 0.2496 0.0000 0.2507
13 Au 0.2504 0.5000 0.7493
14 Au 0.5000 0.0000 0.5000
15 Au 0.7504 0.0000 0.7493
16 Au 0.7496 0.5000 0.2507

[3]
The following is a simulated X-ray diffraction stick pattern of Ba2Pd6Pb3. It was derived from a crystal structure in Alexandria, relaxed with GGA-PBE, using λ = 1.5418 Å (Cu Kα).

Largest 6 diffraction maxima, in order of rising 2θ, 5° ≤ 2θ ≤ 70°:
- 2θ = 22.7°, 3.922 Å, rel. 32
- 2θ = 29.0°, 3.078 Å, rel. 72
- 2θ = 31.9°, 2.804 Å, rel. 29
- 2θ = 34.9°, 2.568 Å, rel. 34
- 2θ = 36.2°, 2.483 Å, rel. 45
- 2θ = 39.5°, 2.281 Å, rel. 100

Crystal structure
a b c (Å): 7.8446 7.8446 4.9663
angles (deg): 90.00 90.00 120.00
Fractional coordinates of all 11 atoms:
1 Ba 0.3333 0.6667 0.0000
2 Ba 0.6667 0.3333 0.0000
3 Pd 0.0000 0.2295 0.5000
4 Pd 0.0000 0.7954 0.0000
5 Pd 0.2046 0.2046 0.0000
6 Pd 0.2295 0.0000 0.5000
7 Pd 0.7705 0.7705 0.5000
8 Pd 0.7954 0.0000 0.0000
9 Pb 0.0000 0.6021 0.5000
10 Pb 0.3979 0.3979 0.5000
11 Pb 0.6021 0.0000 0.5000

[4]
The following is a simulated X-ray diffraction stick pattern of PuSnPd3. It was derived from a crystal structure in Alexandria, relaxed with GGA-PBE, using λ = 1.5418 Å (Cu Kα).

Largest 6 diffraction maxima, in order of rising 2θ, 5° ≤ 2θ ≤ 70°:
- 2θ = 30.7°, 2.910 Å, rel. 42
- 2θ = 34.5°, 2.599 Å, rel. 25
- 2θ = 37.0°, 2.427 Å, rel. 21
- 2θ = 38.6°, 2.331 Å, rel. 100
- 2θ = 43.3°, 2.089 Å, rel. 23
- 2θ = 44.0°, 2.056 Å, rel. 26

Crystal structure
a b c (Å): 7.2892 7.2892 5.1988
angles (deg): 90.00 90.00 134.28
Fractional coordinates of all 10 atoms:
1 Pu 0.0645 0.9355 0.7500
2 Pu 0.9355 0.0645 0.2500
3 Sn 0.3158 0.6842 0.2500
4 Sn 0.6842 0.3158 0.7500
5 Pd 0.0996 0.4003 0.7500
6 Pd 0.4003 0.0996 0.2500
7 Pd 0.5000 0.5000 0.0000
8 Pd 0.5000 0.5000 0.5000
9 Pd 0.5997 0.9004 0.7500
10 Pd 0.9004 0.5997 0.2500

[5]
The following is a simulated X-ray diffraction stick pattern of Tb15Y4Sc. It was derived from a crystal structure in Alexandria, relaxed with GGA-PBE, using λ = 1.5418 Å (Cu Kα).

Largest 6 diffraction maxima, in order of rising 2θ, 5° ≤ 2θ ≤ 70°:
- 2θ = 30.9°, 2.897 Å, rel. 100
- 2θ = 35.8°, 2.509 Å, rel. 50
- 2θ = 51.5°, 1.774 Å, rel. 35
- 2θ = 61.2°, 1.514 Å, rel. 28
- 2θ = 61.3°, 1.511 Å, rel. 13
- 2θ = 64.3°, 1.449 Å, rel. 12

Crystal structure
a b c (Å): 5.0226 5.0226 25.0523
angles (deg): 90.00 90.00 90.00
Fractional coordinates of all 20 atoms:
1 Tb 0.0000 0.0000 0.0000
2 Tb 0.0000 0.0000 0.1971
3 Tb 0.0000 0.0000 0.3991
4 Tb 0.0000 0.0000 0.6009
5 Tb 0.0000 0.0000 0.8029
6 Tb 0.0000 0.5000 0.0963
7 Tb 0.0000 0.5000 0.2981
8 Tb 0.0000 0.5000 0.5000
9 Tb 0.0000 0.5000 0.7019
10 Tb 0.0000 0.5000 0.9037
11 Tb 0.5000 0.0000 0.0963
12 Tb 0.5000 0.0000 0.2981
13 Tb 0.5000 0.0000 0.5000
14 Tb 0.5000 0.0000 0.7019
15 Tb 0.5000 0.0000 0.9037
16 Y 0.5000 0.5000 0.1975
17 Y 0.5000 0.5000 0.3991
18 Y 0.5000 0.5000 0.6009
19 Y 0.5000 0.5000 0.8025
20 Sc 0.5000 0.5000 0.0000

[6]
The following is a simulated X-ray diffraction stick pattern of Rb2TaZnF6. It was derived from a crystal structure in Alexandria, relaxed with GGA-PBE, using λ = 1.5418 Å (Cu Kα).

Largest 6 diffraction maxima, in order of rising 2θ, 5° ≤ 2θ ≤ 70°:
- 2θ = 15.8°, 5.595 Å, rel. 40
- 2θ = 26.0°, 3.432 Å, rel. 100
- 2θ = 26.1°, 3.414 Å, rel. 49
- 2θ = 37.2°, 2.414 Å, rel. 34
- 2θ = 46.0°, 1.975 Å, rel. 39
- 2θ = 60.6°, 1.528 Å, rel. 22

Crystal structure
a b c (Å): 6.8646 6.8646 6.8646
angles (deg): 120.34 120.34 89.41
Fractional coordinates of all 10 atoms:
1 Rb 0.2500 0.7500 0.5000
2 Rb 0.7500 0.2500 0.5000
3 Ta 0.0000 0.0000 0.0000
4 Zn 0.5000 0.5000 0.0000
5 F 0.2059 0.2059 0.4118
6 F 0.2059 0.7941 0.0000
7 F 0.2075 0.2075 0.0000
8 F 0.7925 0.7925 0.0000
9 F 0.7941 0.2059 0.0000
10 F 0.7941 0.7941 0.5882

[7]
The following is a simulated X-ray diffraction stick pattern of Mn2Tl3CdCl9. It was derived from a crystal structure in Alexandria, relaxed with GGA-PBE, using λ = 1.5418 Å (Cu Kα).

Largest 6 diffraction maxima, in order of rising 2θ, 5° ≤ 2θ ≤ 70°:
- 2θ = 24.6°, 3.618 Å, rel. 100
- 2θ = 30.3°, 2.954 Å, rel. 38
- 2θ = 35.1°, 2.558 Å, rel. 52
- 2θ = 43.3°, 2.089 Å, rel. 46
- 2θ = 50.4°, 1.809 Å, rel. 35
- 2θ = 56.9°, 1.618 Å, rel. 21

Crystal structure
a b c (Å): 7.2316 7.2316 8.8749
angles (deg): 90.00 90.00 120.00
Fractional coordinates of all 15 atoms:
1 Mn 0.3333 0.6667 0.1630
2 Mn 0.6667 0.3333 0.8370
3 Tl 0.0000 0.0000 0.0000
4 Tl 0.3333 0.6667 0.6740
5 Tl 0.6667 0.3333 0.3260
6 Cd 0.0000 0.0000 0.5000
7 Cl 0.0000 0.5000 0.0000
8 Cl 0.1704 0.3408 0.3263
9 Cl 0.1704 0.8296 0.3263
10 Cl 0.3408 0.1704 0.6737
11 Cl 0.5000 0.0000 0.0000
12 Cl 0.5000 0.5000 0.0000
13 Cl 0.6592 0.8296 0.3263
14 Cl 0.8296 0.1704 0.6737
15 Cl 0.8296 0.6592 0.6737

[8]
The following is a simulated X-ray diffraction stick pattern of Na3Pr2NpSe6. It was derived from a crystal structure in Alexandria, relaxed with GGA-PBE, using λ = 1.5418 Å (Cu Kα).

Largest 6 diffraction maxima, in order of rising 2θ, 5° ≤ 2θ ≤ 70°:
- 2θ = 12.6°, 7.006 Å, rel. 49
- 2θ = 24.4°, 3.655 Å, rel. 26
- 2θ = 29.5°, 3.031 Å, rel. 100
- 2θ = 42.2°, 2.143 Å, rel. 75
- 2θ = 52.3°, 1.750 Å, rel. 26
- 2θ = 69.3°, 1.356 Å, rel. 33

Crystal structure
a b c (Å): 7.4214 7.4214 7.4283
angles (deg): 99.57 99.57 119.98
Fractional coordinates of all 12 atoms:
1 Na 0.0000 0.0000 0.0000
2 Na 0.3321 0.6679 0.0000
3 Na 0.6679 0.3321 0.0000
4 Pr 0.1658 0.8342 0.5000
5 Pr 0.8342 0.1658 0.5000
6 Np 0.5000 0.5000 0.5000
7 Se 0.0942 0.4213 0.2638
8 Se 0.2518 0.2518 0.7363
9 Se 0.4213 0.0942 0.2638
10 Se 0.5787 0.9058 0.7362
11 Se 0.7482 0.7482 0.2637
12 Se 0.9058 0.5787 0.7362

[9]
The following is a simulated X-ray diffraction stick pattern of Cs3Ca2Br3Cl4. It was derived from a crystal structure in Alexandria, relaxed with GGA-PBE, using λ = 1.5418 Å (Cu Kα).

Largest 6 diffraction maxima, in order of rising 2θ, 5° ≤ 2θ ≤ 70°:
- 2θ = 22.4°, 3.965 Å, rel. 85
- 2θ = 25.6°, 3.474 Å, rel. 43
- 2θ = 29.2°, 3.060 Å, rel. 100
- 2θ = 31.0°, 2.881 Å, rel. 47
- 2θ = 32.8°, 2.728 Å, rel. 40
- 2θ = 45.8°, 1.982 Å, rel. 53

Crystal structure
a b c (Å): 14.9903 14.9903 14.9903
angles (deg): 159.03 157.84 30.70
Fractional coordinates of all 12 atoms:
1 Cs 0.0000 0.0000 0.0000
2 Cs 0.1852 0.1852 0.0000
3 Cs 0.8148 0.8148 0.0000
4 Ca 0.3980 0.3980 0.0000
5 Ca 0.6020 0.6020 0.0000
6 Br 0.0962 0.5962 0.5000
7 Br 0.5000 0.5000 0.0000
8 Br 0.9038 0.4038 0.5000
9 Cl 0.3047 0.3047 0.0000
10 Cl 0.3991 0.8991 0.5000
11 Cl 0.6009 0.1009 0.5000
12 Cl 0.6953 0.6953 0.0000

[10]
The following is a simulated X-ray diffraction stick pattern of Li2BeRu. It was derived from a crystal structure in Alexandria, relaxed with GGA-PBE, using λ = 1.5418 Å (Cu Kα).

Largest 6 diffraction maxima, in order of rising 2θ, 5° ≤ 2θ ≤ 70°:
- 2θ = 21.1°, 4.205 Å, rel. 94
- 2θ = 27.0°, 3.299 Å, rel. 95
- 2θ = 34.6°, 2.596 Å, rel. 100
- 2θ = 38.6°, 2.333 Å, rel. 38
- 2θ = 44.4°, 2.040 Å, rel. 74
- 2θ = 51.5°, 1.773 Å, rel. 32

Crystal structure
a b c (Å): 3.2994 3.2994 4.2048
angles (deg): 90.00 90.00 90.00
Fractional coordinates of all 4 atoms:
1 Li 0.0000 0.5000 0.0000
2 Li 0.5000 0.0000 0.0000
3 Be 0.0000 0.0000 0.5000
4 Ru 0.5000 0.5000 0.5000

[11]
The following is a simulated X-ray diffraction stick pattern of Nd5Y4. It was derived from a crystal structure in Alexandria, relaxed with GGA-PBE, using λ = 1.5418 Å (Cu Kα).

Largest 6 diffraction maxima, in order of rising 2θ, 5° ≤ 2θ ≤ 70°:
- 2θ = 30.1°, 2.965 Å, rel. 100
- 2θ = 34.9°, 2.571 Å, rel. 34
- 2θ = 35.0°, 2.563 Å, rel. 17
- 2θ = 50.2°, 1.816 Å, rel. 36
- 2θ = 59.7°, 1.550 Å, rel. 28
- 2θ = 59.8°, 1.546 Å, rel. 14

Crystal structure
a b c (Å): 8.1269 8.1269 8.1269
angles (deg): 95.71 95.71 143.24
Fractional coordinates of all 9 atoms:
1 Nd 0.0000 0.0000 0.0000
2 Nd 0.0000 0.3321 0.3321
3 Nd 0.0000 0.6679 0.6679
4 Nd 0.3321 0.0000 0.3321
5 Nd 0.6679 0.0000 0.6679
6 Y 0.3334 0.3334 0.6669
7 Y 0.3334 0.6666 0.0000
8 Y 0.6666 0.3334 0.0000
9 Y 0.6666 0.6666 0.3331

[12]
The following is a simulated X-ray diffraction stick pattern of Tm3Th4Se8. It was derived from a crystal structure in Alexandria, relaxed with GGA-PBE, using λ = 1.5418 Å (Cu Kα).

Largest 6 diffraction maxima, in order of rising 2θ, 5° ≤ 2θ ≤ 70°:
- 2θ = 22.9°, 3.879 Å, rel. 71
- 2θ = 25.5°, 3.499 Å, rel. 66
- 2θ = 30.4°, 2.940 Å, rel. 100
- 2θ = 31.9°, 2.802 Å, rel. 55
- 2θ = 40.0°, 2.253 Å, rel. 87
- 2θ = 46.8°, 1.939 Å, rel. 85

Crystal structure
a b c (Å): 9.2582 9.2582 9.2582
angles (deg): 49.54 49.54 49.54
Fractional coordinates of all 15 atoms:
1 Tm 0.0000 0.5000 0.5000
2 Tm 0.5000 0.0000 0.5000
3 Tm 0.5000 0.5000 0.0000
4 Th 0.0000 0.0000 0.0000
5 Th 0.1516 0.1516 0.1516
6 Th 0.5000 0.5000 0.5000
7 Th 0.8484 0.8484 0.8484
8 Se 0.2490 0.2490 0.7325
9 Se 0.2490 0.7325 0.2490
10 Se 0.2681 0.2681 0.2681
11 Se 0.2675 0.7510 0.7510
12 Se 0.7325 0.2490 0.2490
13 Se 0.7319 0.7319 0.7319
14 Se 0.7510 0.2675 0.7510
15 Se 0.7510 0.7510 0.2675